MnAs: computed X-ray powder pattern (copper Kα), based on the PBE geometry in the Materials Project.
Lines closer than 0.1° are merged.

Cell and atoms:
a = 5.557 Å, b = 3.423 Å, c = 6.035 Å
α = 90.00°, β = 90.00°, γ = 90.00°
Atoms (fractional coordinates):
1 Mn 0.003 0.250 0.190
2 Mn 0.497 0.750 0.690
3 Mn 0.503 0.250 0.310
4 Mn 0.997 0.750 0.810
5 As 0.196 0.250 0.581
6 As 0.304 0.750 0.081
7 As 0.696 0.250 0.919
8 As 0.804 0.750 0.419

Most intense lines, 2θ = 5–70°, by intensity:
Position (°2θ), I (rel.)
34.17, 100.0
44.61, 76.3
33.80, 51.0
43.15, 46.0
52.78, 35.5
44.32, 30.7
53.55, 29.2
51.61, 22.5
41.88, 18.0
64.84, 15.0

***

Er2AlFe3: computed X-ray powder pattern (copper Kα), based on the PBE geometry in the Materials Project.
Lines closer than 0.1° are merged.

Cell and atoms:
a = 5.155 Å, b = 5.155 Å, c = 5.155 Å
α = 60.28°, β = 60.28°, γ = 60.28°
Atoms (fractional coordinates):
1 Er 0.122 0.122 0.122
2 Er 0.878 0.878 0.878
3 Al 0.500 0.500 0.500
4 Fe 0.000 0.500 0.500
5 Fe 0.500 0.000 0.500
6 Fe 0.500 0.500 0.000

Most intense lines, 2θ = 5–70°, by intensity:
Position (°2θ), I (rel.)
40.92, 100.0
34.81, 60.6
34.65, 41.7
21.03, 36.3
41.09, 33.8
62.18, 30.3
66.45, 29.0
42.82, 11.9
66.63, 8.2
62.50, 7.6

***

MgSbS2NCl6: computed X-ray powder pattern (copper Kα), based on the PBE geometry in the Materials Project.
Lines closer than 0.1° are merged.

Cell and atoms:
a = 7.752 Å, b = 7.752 Å, c = 8.047 Å
α = 121.19°, β = 121.19°, γ = 68.86°
Atoms (fractional coordinates):
1 Mg 0.000 0.000 0.000
2 Sb 0.354 0.354 0.852
3 S 0.008 0.667 0.359
4 S 0.667 0.008 0.359
5 N 0.837 0.837 0.358
6 Cl 0.026 0.638 0.820
7 Cl 0.127 0.127 0.366
8 Cl 0.139 0.139 0.909
9 Cl 0.520 0.520 0.796
10 Cl 0.521 0.521 0.239
11 Cl 0.638 0.026 0.820

Most intense lines, 2θ = 5–70°, by intensity:
Position (°2θ), I (rel.)
28.53, 100.0
14.15, 76.5
23.34, 56.1
14.94, 54.1
47.21, 49.3
20.26, 41.7
31.92, 41.0
17.82, 32.2
13.46, 30.3
24.80, 29.0

***

Ba2LuMgSbO6: computed X-ray powder pattern (copper Kα), based on the PBE geometry in the Materials Project.
Lines closer than 0.1° are merged.

Cell and atoms:
a = 6.239 Å, b = 6.239 Å, c = 7.159 Å
α = 116.08°, β = 116.08°, γ = 59.99°
Atoms (fractional coordinates):
1 Ba 0.000 0.000 0.000
2 Ba 0.589 0.589 0.767
3 Lu 0.340 0.340 0.018
4 Mg 0.195 0.195 0.589
5 Sb 0.786 0.786 0.353
6 O 0.035 0.573 0.172
7 O 0.098 0.552 0.750
8 O 0.099 0.099 0.753
9 O 0.552 0.098 0.750
10 O 0.570 0.570 0.164
11 O 0.573 0.035 0.172

Most intense lines, 2θ = 5–70°, by intensity:
Position (°2θ), I (rel.)
28.62, 100.0
29.21, 36.2
14.36, 35.2
25.38, 22.9
50.69, 20.5
59.24, 18.5
29.32, 18.3
51.03, 16.0
32.13, 15.5
41.43, 15.4